MnH8C4N2O6: calculated powder diffraction line list (Cu Ka), based on a crystal structure in the Materials Project, relaxed with PBE+U.
Lines closer than 0.1° are merged.

Crystal structure
Unit cell a=8.360 b=8.360 c=8.691 alpha=115.85 beta=115.85 gamma=62.80
Positions (direct):
Mn 0.000 0.500 0.000
Mn 0.500 0.000 0.500
H 0.102 0.898 0.750
H 0.116 0.641 0.487
H 0.178 0.822 0.250
H 0.204 0.325 0.323
H 0.325 0.204 0.823
H 0.341 0.507 0.602
H 0.359 0.884 0.013
H 0.493 0.659 0.898
H 0.507 0.341 0.102
H 0.641 0.116 0.987
H 0.659 0.493 0.398
H 0.675 0.796 0.177
H 0.796 0.675 0.677
H 0.822 0.178 0.750
H 0.884 0.359 0.513
H 0.898 0.102 0.250
C 0.204 0.232 0.704
C 0.228 0.772 0.750
C 0.232 0.204 0.204
C 0.306 0.694 0.250
C 0.694 0.306 0.750
C 0.768 0.796 0.796
C 0.772 0.228 0.250
C 0.796 0.768 0.296
N 0.228 0.631 0.602
N 0.369 0.772 0.898
N 0.631 0.228 0.102
N 0.772 0.369 0.398
O 0.048 0.351 0.732
O 0.143 0.227 0.051
O 0.227 0.143 0.551
O 0.284 0.537 0.145
O 0.351 0.048 0.232
O 0.463 0.716 0.355
O 0.537 0.284 0.645
O 0.649 0.952 0.768
O 0.716 0.463 0.855
O 0.773 0.857 0.449
O 0.857 0.773 0.949
O 0.952 0.649 0.268

Main lines, in order of rising 2θ (10° ≤ 2θ ≤ 90°):
2theta  I/Imax
14.44  100
19.63  16
20.57  23
21.30  57
23.40  14
24.04  17
26.56  15
29.12  35
41.83  14
43.38  15